Record 1
AgBi2C2: computed powder XRD pattern (Cu Kα, 1.54184 Å), based on a cell relaxed with GGA-PBE.
No peak broadening, texture or thermal motion is included.

Principal peaks in the range 5 to 70 degrees two-theta, sorted by position:
23.56 deg, rel. 38; 26.66 deg, rel. 16; 33.57 deg, rel. 63; 35.87 deg, rel. 100; 43.37 deg, rel. 19; 48.21 deg, rel. 23; 61.53 deg, rel. 42; 65.92 deg, rel. 16

Crystal structure
```
data_AgBi2C2
_chemical_formula_sum 'Ag1 Bi2 C2'
_symmetry_space_group_name_H-M 'P 1'
_symmetry_Int_Tables_number 1
_cell_length_a 5.0436
_cell_length_b 5.0436
_cell_length_c 5.0436
_cell_angle_alpha 116.08
_cell_angle_beta 116.08
_cell_angle_gamma 96.93
loop_
_symmetry_equiv_pos_as_xyz
'x,y,z'
loop_
_atom_site_label
_atom_site_fract_x
_atom_site_fract_y
_atom_site_fract_z
_atom_site_occupancy
Ag1 0.0000 0.0000 0.0000 1
Bi1 0.2500 0.7500 0.5000 1
Bi2 0.7500 0.2500 0.5000 1
C1 0.4017 0.4017 0.0000 1
C2 0.5983 0.5983 0.0000 1
```

---

Record 2
Tm3AgSn3: computed powder XRD pattern (Cu Kα, 1.54184 Å), based on a cell relaxed with GGA-PBE.
No peak broadening, texture or thermal motion is included.

Principal peaks in the range 5 to 70 degrees two-theta, sorted by position:
30.51 deg, rel. 62; 31.49 deg, rel. 95; 31.91 deg, rel. 58; 35.97 deg, rel. 49; 37.38 deg, rel. 100; 38.96 deg, rel. 36; 39.70 deg, rel. 67; 51.83 deg, rel. 33

Crystal structure
```
data_Tm3AgSn3
_chemical_formula_sum 'Tm6 Ag2 Sn6'
_symmetry_space_group_name_H-M 'P 1'
_symmetry_Int_Tables_number 1
_cell_length_a 6.0678
_cell_length_b 6.0678
_cell_length_c 14.5720
_cell_angle_alpha 106.61
_cell_angle_beta 106.61
_cell_angle_gamma 43.94
loop_
_symmetry_equiv_pos_as_xyz
'x,y,z'
loop_
_atom_site_label
_atom_site_fract_x
_atom_site_fract_y
_atom_site_fract_z
_atom_site_occupancy
Tm1 0.0316 0.0316 0.3821 1
Tm2 0.0968 0.0968 0.9214 1
Tm3 0.2306 0.2306 0.2238 1
Tm4 0.7694 0.7694 0.7762 1
Tm5 0.9032 0.9032 0.0786 1
Tm6 0.9684 0.9684 0.6179 1
Ag1 0.2706 0.2706 0.6153 1
Ag2 0.7294 0.7294 0.3847 1
Sn1 0.3648 0.3648 0.4486 1
Sn2 0.3694 0.3694 0.9258 1
Sn3 0.4912 0.4912 0.7704 1
Sn4 0.5088 0.5088 0.2296 1
Sn5 0.6306 0.6306 0.0742 1
Sn6 0.6352 0.6352 0.5514 1
```

---

Record 3
Mg5TiB2O10: computed powder XRD pattern (Cu Kα, 1.54184 Å), based on a cell relaxed with GGA-PBE.
No peak broadening, texture or thermal motion is included.

Principal peaks in the range 5 to 70 degrees two-theta, sorted by position:
17.08 deg, rel. 59; 34.55 deg, rel. 76; 35.09 deg, rel. 100; 40.99 deg, rel. 43; 43.93 deg, rel. 62; 47.01 deg, rel. 35; 57.72 deg, rel. 35; 61.06 deg, rel. 37

Crystal structure
```
data_Mg5TiB2O10
_chemical_formula_sum 'Mg10 Ti2 B4 O20'
_symmetry_space_group_name_H-M 'P 1'
_symmetry_Int_Tables_number 1
_cell_length_a 3.0493
_cell_length_b 9.3863
_cell_length_c 12.4674
_cell_angle_alpha 90.00
_cell_angle_beta 90.00
_cell_angle_gamma 90.00
loop_
_symmetry_equiv_pos_as_xyz
'x,y,z'
loop_
_atom_site_label
_atom_site_fract_x
_atom_site_fract_y
_atom_site_fract_z
_atom_site_occupancy
Mg1 0.0000 0.0182 0.0000 1
Mg2 0.0000 0.2297 0.3864 1
Mg3 0.0000 0.7703 0.8864 1
Mg4 0.0000 0.9818 0.5000 1
Mg5 0.5000 0.2340 0.1624 1
Mg6 0.5000 0.2369 0.5959 1
Mg7 0.5000 0.2395 0.8860 1
Mg8 0.5000 0.7605 0.3860 1
Mg9 0.5000 0.7631 0.0959 1
Mg10 0.5000 0.7660 0.6624 1
Ti1 0.0000 0.4922 0.7653 1
Ti2 0.0000 0.5078 0.2653 1
B1 0.0000 0.0290 0.7421 1
B2 0.0000 0.4844 0.0211 1
B3 0.0000 0.5156 0.5211 1
B4 0.0000 0.9710 0.2421 1
O1 0.0000 0.1028 0.6460 1
O2 0.0000 0.1065 0.8364 1
O3 0.0000 0.1214 0.2409 1
O4 0.0000 0.3707 0.5245 1
O5 0.0000 0.4095 0.1204 1
O6 0.0000 0.4113 0.9217 1
O7 0.0000 0.5887 0.4217 1
O8 0.0000 0.5905 0.6204 1
O9 0.0000 0.6293 0.0245 1
O10 0.0000 0.8786 0.7409 1
O11 0.0000 0.8935 0.3364 1
O12 0.0000 0.8972 0.1460 1
O13 0.5000 0.1333 0.4563 1
O14 0.5000 0.1524 0.0251 1
O15 0.5000 0.3666 0.7378 1
O16 0.5000 0.3732 0.3014 1
O17 0.5000 0.6268 0.8014 1
O18 0.5000 0.6334 0.2378 1
O19 0.5000 0.8476 0.5251 1
O20 0.5000 0.8667 0.9563 1
```

---

Record 4
Ba2Re6S11: computed powder XRD pattern (Cu Kα, 1.54184 Å), based on a cell relaxed with GGA-PBE.
No peak broadening, texture or thermal motion is included.

Principal peaks in the range 5 to 70 degrees two-theta, sorted by position:
12.27 deg, rel. 100; 15.53 deg, rel. 57; 19.07 deg, rel. 23; 29.84 deg, rel. 26; 35.30 deg, rel. 19; 40.69 deg, rel. 39; 46.51 deg, rel. 27; 51.38 deg, rel. 18

Crystal structure
```
data_Ba2Re6S11
_chemical_formula_sum 'Ba4 Re12 S22'
_symmetry_space_group_name_H-M 'P 1'
_symmetry_Int_Tables_number 1
_cell_length_a 12.0345
_cell_length_b 12.0345
_cell_length_c 12.0345
_cell_angle_alpha 45.51
_cell_angle_beta 45.51
_cell_angle_gamma 45.51
loop_
_symmetry_equiv_pos_as_xyz
'x,y,z'
loop_
_atom_site_label
_atom_site_fract_x
_atom_site_fract_y
_atom_site_fract_z
_atom_site_occupancy
Ba1 0.1886 0.1886 0.1886 1
Ba2 0.3114 0.3114 0.3114 1
Ba3 0.6886 0.6886 0.6886 1
Ba4 0.8114 0.8114 0.8114 1
Re1 0.0111 0.2074 0.8830 1
Re2 0.1170 0.9889 0.7926 1
Re3 0.2074 0.8830 0.0111 1
Re4 0.2926 0.4889 0.6170 1
Re5 0.3830 0.7074 0.5111 1
Re6 0.4889 0.6170 0.2926 1
Re7 0.5111 0.3830 0.7074 1
Re8 0.6170 0.2926 0.4889 1
Re9 0.7074 0.5111 0.3830 1
Re10 0.7926 0.1170 0.9889 1
Re11 0.8830 0.0111 0.2074 1
Re12 0.9889 0.7926 0.1170 1
S1 0.0176 0.4824 0.7500 1
S2 0.0730 0.7101 0.3077 1
S3 0.0909 0.0909 0.0909 1
S4 0.1923 0.7899 0.4270 1
S5 0.2101 0.5730 0.8077 1
S6 0.2500 0.9824 0.5176 1
S7 0.2899 0.6923 0.9270 1
S8 0.3077 0.0730 0.7101 1
S9 0.4091 0.4091 0.4091 1
S10 0.4270 0.1923 0.7899 1
S11 0.4824 0.7500 0.0176 1
S12 0.5176 0.2500 0.9824 1
S13 0.5730 0.8077 0.2101 1
S14 0.5909 0.5909 0.5909 1
S15 0.6923 0.9270 0.2899 1
S16 0.7101 0.3077 0.0730 1
S17 0.7500 0.0176 0.4824 1
S18 0.7899 0.4270 0.1923 1
S19 0.8077 0.2101 0.5730 1
S20 0.9091 0.9091 0.9091 1
S21 0.9270 0.2899 0.6923 1
S22 0.9824 0.5176 0.2500 1
```

---

Record 5
Tb4Er3Pt4: computed powder XRD pattern (Cu Kα, 1.54184 Å), based on a cell relaxed with GGA-PBE.
No peak broadening, texture or thermal motion is included.

Principal peaks in the range 5 to 70 degrees two-theta, sorted by position:
31.69 deg, rel. 100; 33.83 deg, rel. 97; 34.83 deg, rel. 59; 36.28 deg, rel. 33; 38.90 deg, rel. 57; 40.52 deg, rel. 45; 48.03 deg, rel. 31; 62.65 deg, rel. 34

Crystal structure
```
data_Tb4Er3Pt4
_chemical_formula_sum 'Tb4 Er3 Pt4'
_symmetry_space_group_name_H-M 'P 1'
_symmetry_Int_Tables_number 1
_cell_length_a 9.4720
_cell_length_b 9.4720
_cell_length_c 9.4720
_cell_angle_alpha 156.93
_cell_angle_beta 124.87
_cell_angle_gamma 60.55
loop_
_symmetry_equiv_pos_as_xyz
'x,y,z'
loop_
_atom_site_label
_atom_site_fract_x
_atom_site_fract_y
_atom_site_fract_z
_atom_site_occupancy
Tb1 0.0218 0.8348 0.1870 1
Tb2 0.3522 0.1652 0.1870 1
Tb3 0.6478 0.8348 0.8130 1
Tb4 0.9782 0.1652 0.8130 1
Er1 0.0000 0.5000 0.5000 1
Er2 0.4021 0.4021 0.0000 1
Er3 0.5979 0.5979 0.0000 1
Pt1 0.2582 0.7582 0.5000 1
Pt2 0.2952 0.0000 0.2952 1
Pt3 0.7048 0.0000 0.7048 1
Pt4 0.7418 0.2418 0.5000 1
```

---

Record 6
Sr2CuF6: computed powder XRD pattern (Cu Kα, 1.54184 Å), based on a cell relaxed with GGA-PBE.
No peak broadening, texture or thermal motion is included.

Principal peaks in the range 5 to 70 degrees two-theta, sorted by position:
27.07 deg, rel. 100; 30.81 deg, rel. 16; 44.14 deg, rel. 22; 45.35 deg, rel. 40; 52.54 deg, rel. 30; 54.67 deg, rel. 13; 55.83 deg, rel. 8; 64.18 deg, rel. 4

Crystal structure
```
data_Sr2CuF6
_chemical_formula_sum 'Sr4 Cu2 F12'
_symmetry_space_group_name_H-M 'P 1'
_symmetry_Int_Tables_number 1
_cell_length_a 8.7735
_cell_length_b 8.7735
_cell_length_c 5.8004
_cell_angle_alpha 90.00
_cell_angle_beta 90.00
_cell_angle_gamma 38.66
loop_
_symmetry_equiv_pos_as_xyz
'x,y,z'
loop_
_atom_site_label
_atom_site_fract_x
_atom_site_fract_y
_atom_site_fract_z
_atom_site_occupancy
Sr1 0.1619 0.1619 0.0000 1
Sr2 0.3381 0.3381 0.5000 1
Sr3 0.6619 0.6619 0.5000 1
Sr4 0.8381 0.8381 0.0000 1
Cu1 0.0000 0.0000 0.5000 1
Cu2 0.5000 0.5000 0.0000 1
F1 0.0077 0.4923 0.7500 1
F2 0.0846 0.7530 0.6662 1
F3 0.2470 0.9154 0.6662 1
F4 0.2530 0.5846 0.1662 1
F5 0.4154 0.7470 0.1662 1
F6 0.4923 0.0077 0.2500 1
F7 0.5077 0.9923 0.7500 1
F8 0.5846 0.2530 0.8338 1
F9 0.7470 0.4154 0.8338 1
F10 0.7530 0.0846 0.3338 1
F11 0.9154 0.2470 0.3338 1
F12 0.9923 0.5077 0.2500 1
```

---

Record 7
NaAlP2O7: computed powder XRD pattern (Cu Kα, 1.54184 Å), based on a cell relaxed with GGA-PBE.
No peak broadening, texture or thermal motion is included.

Principal peaks in the range 5 to 70 degrees two-theta, sorted by position:
17.47 deg, rel. 25; 23.32 deg, rel. 56; 26.33 deg, rel. 30; 28.74 deg, rel. 68; 29.09 deg, rel. 47; 30.35 deg, rel. 17; 30.70 deg, rel. 100; 44.13 deg, rel. 15

Crystal structure
```
data_NaAlP2O7
_chemical_formula_sum 'Na4 Al4 P8 O28'
_symmetry_space_group_name_H-M 'P 1'
_symmetry_Int_Tables_number 1
_cell_length_a 7.2841
_cell_length_b 7.8127
_cell_length_c 9.4065
_cell_angle_alpha 90.00
_cell_angle_beta 111.64
_cell_angle_gamma 90.00
loop_
_symmetry_equiv_pos_as_xyz
'x,y,z'
loop_
_atom_site_label
_atom_site_fract_x
_atom_site_fract_y
_atom_site_fract_z
_atom_site_occupancy
Na1 0.2095 0.0259 0.2029 1
Na2 0.2095 0.4741 0.7029 1
Na3 0.7905 0.5259 0.2971 1
Na4 0.7905 0.9741 0.7971 1
Al1 0.2397 0.0101 0.7527 1
Al2 0.2397 0.4899 0.2527 1
Al3 0.7603 0.5101 0.7473 1
Al4 0.7603 0.9899 0.2473 1
P1 0.1697 0.7071 0.9527 1
P2 0.1697 0.7929 0.4527 1
P3 0.4287 0.2445 0.0498 1
P4 0.4287 0.2555 0.5498 1
P5 0.5713 0.7445 0.4502 1
P6 0.5713 0.7555 0.9502 1
P7 0.8303 0.2071 0.5473 1
P8 0.8303 0.2929 0.0473 1
O1 0.0231 0.5860 0.8410 1
O2 0.0231 0.9140 0.3410 1
O3 0.1426 0.6049 0.3994 1
O4 0.1426 0.8951 0.8994 1
O5 0.1855 0.6910 0.1183 1
O6 0.1855 0.8090 0.6183 1
O7 0.3095 0.2068 0.8820 1
O8 0.3095 0.2932 0.3820 1
O9 0.3144 0.1382 0.6146 1
O10 0.3144 0.3618 0.1146 1
O11 0.3770 0.6457 0.9391 1
O12 0.3770 0.8543 0.4391 1
O13 0.4980 0.5826 0.3533 1
O14 0.4980 0.9174 0.8533 1
O15 0.5020 0.0826 0.1467 1
O16 0.5020 0.4174 0.6467 1
O17 0.6230 0.1457 0.5609 1
O18 0.6230 0.3543 0.0609 1
O19 0.6856 0.6382 0.8854 1
O20 0.6856 0.8618 0.3854 1
O21 0.6905 0.7068 0.6180 1
O22 0.6905 0.7932 0.1180 1
O23 0.8145 0.1910 0.3817 1
O24 0.8145 0.3090 0.8817 1
O25 0.8574 0.1049 0.1006 1
O26 0.8574 0.3951 0.6006 1
O27 0.9769 0.0860 0.6590 1
O28 0.9769 0.4140 0.1590 1
```

---

Record 8
NaPa2NiS5: computed powder XRD pattern (Cu Kα, 1.54184 Å), based on a cell relaxed with GGA-PBE.
No peak broadening, texture or thermal motion is included.

Principal peaks in the range 5 to 70 degrees two-theta, sorted by position:
13.92 deg, rel. 82; 16.48 deg, rel. 28; 27.14 deg, rel. 72; 27.32 deg, rel. 27; 28.06 deg, rel. 21; 33.78 deg, rel. 100; 40.08 deg, rel. 33; 44.47 deg, rel. 41

Crystal structure
```
data_NaPa2NiS5
_chemical_formula_sum 'Na2 Pa4 Ni2 S10'
_symmetry_space_group_name_H-M 'P 1'
_symmetry_Int_Tables_number 1
_cell_length_a 8.3291
_cell_length_b 8.3291
_cell_length_c 8.3291
_cell_angle_alpha 125.66
_cell_angle_beta 125.66
_cell_angle_gamma 80.44
loop_
_symmetry_equiv_pos_as_xyz
'x,y,z'
loop_
_atom_site_label
_atom_site_fract_x
_atom_site_fract_y
_atom_site_fract_z
_atom_site_occupancy
Na1 0.2500 0.2500 0.0000 1
Na2 0.7500 0.7500 0.0000 1
Pa1 0.1591 0.6591 0.8181 1
Pa2 0.3409 0.1591 0.5000 1
Pa3 0.6591 0.8409 0.5000 1
Pa4 0.8409 0.3409 0.1819 1
Ni1 0.2500 0.7500 0.5000 1
Ni2 0.7500 0.2500 0.5000 1
S1 0.0000 0.0000 0.0000 1
S2 0.0170 0.2194 0.5000 1
S3 0.2194 0.7194 0.2024 1
S4 0.2806 0.4830 0.5000 1
S5 0.4830 0.9830 0.2024 1
S6 0.5000 0.5000 0.0000 1
S7 0.5170 0.0170 0.7976 1
S8 0.7194 0.5170 0.5000 1
S9 0.7806 0.2806 0.7976 1
S10 0.9830 0.7806 0.5000 1
```

---

Record 9
Cd5Cu2: computed powder XRD pattern (Cu Kα, 1.54184 Å), based on a cell relaxed with GGA-PBE.
No peak broadening, texture or thermal motion is included.

Principal peaks in the range 5 to 70 degrees two-theta, sorted by position:
32.01 deg, rel. 17; 32.74 deg, rel. 12; 38.73 deg, rel. 100; 39.52 deg, rel. 19; 40.97 deg, rel. 14; 43.31 deg, rel. 13; 65.60 deg, rel. 15; 68.20 deg, rel. 15

Crystal structure
```
data_Cd5Cu2
_chemical_formula_sum 'Cd20 Cu8'
_symmetry_space_group_name_H-M 'P 1'
_symmetry_Int_Tables_number 1
_cell_length_a 8.3567
_cell_length_b 8.3567
_cell_length_c 8.8117
_cell_angle_alpha 90.00
_cell_angle_beta 90.00
_cell_angle_gamma 120.00
loop_
_symmetry_equiv_pos_as_xyz
'x,y,z'
loop_
_atom_site_label
_atom_site_fract_x
_atom_site_fract_y
_atom_site_fract_z
_atom_site_occupancy
Cd1 0.0000 0.0000 0.0000 1
Cd2 0.0000 0.0000 0.5000 1
Cd3 0.0721 0.5360 0.2500 1
Cd4 0.2037 0.4073 0.5409 1
Cd5 0.2037 0.4073 0.9591 1
Cd6 0.2037 0.7963 0.5409 1
Cd7 0.2037 0.7963 0.9591 1
Cd8 0.4073 0.2037 0.0409 1
Cd9 0.4073 0.2037 0.4591 1
Cd10 0.4640 0.5360 0.2500 1
Cd11 0.4640 0.9279 0.2500 1
Cd12 0.5360 0.0721 0.7500 1
Cd13 0.5360 0.4640 0.7500 1
Cd14 0.5927 0.7963 0.5409 1
Cd15 0.5927 0.7963 0.9591 1
Cd16 0.7963 0.2037 0.0409 1
Cd17 0.7963 0.2037 0.4591 1
Cd18 0.7963 0.5927 0.0409 1
Cd19 0.7963 0.5927 0.4591 1
Cd20 0.9279 0.4640 0.7500 1
Cu1 0.1109 0.2218 0.2500 1
Cu2 0.1109 0.8891 0.2500 1
Cu3 0.2218 0.1109 0.7500 1
Cu4 0.3333 0.6667 0.7500 1
Cu5 0.6667 0.3333 0.2500 1
Cu6 0.7782 0.8891 0.2500 1
Cu7 0.8891 0.1109 0.7500 1
Cu8 0.8891 0.7782 0.7500 1
```

---

Record 10
LiSiNi3: computed powder XRD pattern (Cu Kα, 1.54184 Å), based on a cell relaxed with GGA-PBE.
No peak broadening, texture or thermal motion is included.

Principal peaks in the range 5 to 70 degrees two-theta, sorted by position:
19.26 deg, rel. 100; 25.63 deg, rel. 48; 37.73 deg, rel. 26; 39.08 deg, rel. 36; 44.17 deg, rel. 38; 44.38 deg, rel. 59; 48.11 deg, rel. 30; 52.84 deg, rel. 37

Crystal structure
```
data_LiSiNi3
_chemical_formula_sum 'Li2 Si2 Ni6'
_symmetry_space_group_name_H-M 'P 1'
_symmetry_Int_Tables_number 1
_cell_length_a 6.2096
_cell_length_b 6.2096
_cell_length_c 4.3975
_cell_angle_alpha 90.00
_cell_angle_beta 90.00
_cell_angle_gamma 132.07
loop_
_symmetry_equiv_pos_as_xyz
'x,y,z'
loop_
_atom_site_label
_atom_site_fract_x
_atom_site_fract_y
_atom_site_fract_z
_atom_site_occupancy
Li1 0.0766 0.9234 0.7500 1
Li2 0.9234 0.0766 0.2500 1
Si1 0.3262 0.6738 0.2500 1
Si2 0.6738 0.3262 0.7500 1
Ni1 0.0951 0.4391 0.7500 1
Ni2 0.4391 0.0951 0.2500 1
Ni3 0.5000 0.5000 0.0000 1
Ni4 0.5000 0.5000 0.5000 1
Ni5 0.5609 0.9049 0.7500 1
Ni6 0.9049 0.5609 0.2500 1
```